# 1
# ScFe3O8
Theoretical powder diffractogram, λ = 1.5418 Å (Cu Kα). Input: a structure optimized by DFT (GGA+U).

Structural model:
a b c (Å): 5.563 5.563 5.563
angles (deg): 114.05 108.17 106.30
Fractional positions:
Sc: 0.000 0.000 0.000
Fe: 0.000 0.500 0.500
Fe: 0.500 0.257 0.757
Fe: 0.500 0.743 0.243
O: 0.195 0.271 0.466
O: 0.195 0.729 0.925
O: 0.313 0.313 0.000
O: 0.319 0.819 0.500
O: 0.681 0.181 0.500
O: 0.687 0.687 0.000
O: 0.805 0.271 0.075
O: 0.805 0.729 0.534

The 6 most intense peaks (2θ from 10° to 90°), in order of rising 2θ:
two_theta, d (Å), I (rel.)
26.7, 3.336, 100
27.3, 3.263, 89
35.3, 2.540, 93
53.0, 1.728, 59
53.7, 1.708, 52
67.7, 1.383, 40

---

# 2
# Ba3Na2Cr4F20
Theoretical powder diffractogram, λ = 1.5418 Å (Cu Kα). Input: a structure optimized by DFT (GGA+U).

Structural model:
a b c (Å): 5.545 20.959 9.206
angles (deg): 90.00 126.35 90.00
Fractional positions:
Ba: 0.000 0.000 0.000
Ba: 0.000 0.500 0.500
Ba: 0.037 0.223 0.009
Ba: 0.037 0.277 0.509
Ba: 0.963 0.723 0.491
Ba: 0.963 0.777 0.991
Na: 0.199 0.091 0.725
Na: 0.199 0.409 0.225
Na: 0.801 0.591 0.775
Na: 0.801 0.909 0.275
Cr: 0.305 0.603 0.284
Cr: 0.305 0.897 0.784
Cr: 0.496 0.638 0.967
Cr: 0.496 0.862 0.467
Cr: 0.504 0.138 0.533
Cr: 0.504 0.362 0.033
Cr: 0.695 0.103 0.216
Cr: 0.695 0.397 0.716
F: 0.110 0.097 0.440
F: 0.110 0.403 0.940
F: 0.115 0.679 0.860
F: 0.115 0.821 0.360
F: 0.163 0.612 0.430
F: 0.163 0.888 0.930
F: 0.286 0.108 0.000
F: 0.286 0.392 0.500
F: 0.290 0.567 0.806
F: 0.290 0.933 0.306
F: 0.299 0.210 0.374
F: 0.299 0.290 0.874
F: 0.317 0.511 0.312
F: 0.317 0.989 0.812
F: 0.325 0.694 0.266
F: 0.325 0.806 0.766
F: 0.469 0.178 0.709
F: 0.469 0.322 0.209
F: 0.473 0.592 0.147
F: 0.473 0.908 0.647
F: 0.527 0.092 0.353
F: 0.527 0.408 0.853
F: 0.531 0.678 0.791
F: 0.531 0.822 0.291
F: 0.675 0.194 0.234
F: 0.675 0.306 0.734
F: 0.683 0.011 0.188
F: 0.683 0.489 0.688
F: 0.701 0.710 0.126
F: 0.701 0.790 0.626
F: 0.710 0.067 0.694
F: 0.710 0.433 0.194
F: 0.714 0.608 0.500
F: 0.714 0.892 0.000
F: 0.837 0.112 0.070
F: 0.837 0.388 0.570
F: 0.885 0.179 0.640
F: 0.885 0.321 0.140
F: 0.890 0.597 0.060
F: 0.890 0.903 0.560

The 6 most intense peaks (2θ from 10° to 90°), in order of rising 2θ:
two_theta, d (Å), I (rel.)
24.4, 3.649, 72
26.2, 3.399, 100
26.4, 3.376, 91
26.7, 3.344, 79
29.5, 3.030, 73
32.3, 2.773, 57